# 1
Starting from a cell relaxed with GGA-PBE, the powder diffractogram of Tb7Dy4Mg was simulated for CuKα.

Principal peaks in the range 2θ from 10° to 90°, in order of rising 2θ:
2θ (°)	I (rel.)	hkl
31.65	100.0	1 0 4
32.05	99.7	1 1 0
45.66	36.5	0 2 4
56.10	14.9	0 1 8
56.87	40.8	2 1 4
57.14	19.3	3 0 0
66.09	9.1	2 0 8
67.03	12.0	2 2 0
75.36	12.5	1 2 8
76.02	17.4	1 3 4

Crystal structure
```
data_Tb7Dy4Mg
_symmetry_space_group_name_H-M 'P -3 m 1'
_symmetry_Int_Tables_number 164
_symmetry_space_group_name_Hall '-P 3 2"'
_cell_length_a 5.5846
_cell_length_b 5.5846
_cell_length_c 13.9399
_cell_angle_alpha 90.00
_cell_angle_beta 90.00
_cell_angle_gamma 120.00
loop_
_atom_site_label
_atom_site_fract_x
_atom_site_fract_y
_atom_site_fract_z
Tb1 0.0000 0.0000 0.0000
Tb2 0.0000 0.0000 0.2676
Tb3 0.3333 0.6667 0.1740
Tb4 0.3333 0.6667 0.4244
Dy1 0.3333 0.6667 0.6829
Dy2 0.3333 0.6667 0.9278
Mg1 0.0000 0.0000 0.5000
```

# 2
Starting from a cell relaxed with GGA-PBE, the powder diffractogram of Tb2DyMg5 was simulated for CuKα.

Principal peaks in the range 2θ from 10° to 90°, in order of rising 2θ:
2θ (°)	I (rel.)	hkl
17.86	19.1	1 0 1
23.46	27.1	0 0 4
23.94	52.6	1 1 0
24.43	19.4	1 0 3
33.77	100.0	1 1 4
34.12	50.8	2 0 0
41.82	24.2	2 0 4
49.02	18.7	2 2 0
60.18	17.7	2 0 8
60.85	36.2	3 1 4

Crystal structure
```
data_Tb2DyMg5
_symmetry_space_group_name_H-M 'I 4/m m m'
_symmetry_Int_Tables_number 139
_symmetry_space_group_name_Hall '-I 4 2'
_cell_length_a 5.256
_cell_length_b 5.256
_cell_length_c 15.168
_cell_angle_alpha 90.00
_cell_angle_beta 90.00
_cell_angle_gamma 90.00
loop_
_atom_site_label
_atom_site_fract_x
_atom_site_fract_y
_atom_site_fract_z
Tb1 0.000 0.000 0.243
Dy1 0.000 0.000 0.500
Mg1 0.000 0.000 0.000
Mg2 0.000 0.500 0.119
```

# 3
Starting from a cell relaxed with GGA-PBE, the powder diffractogram of Tb4Dy5Mg was simulated for CuKα.

Principal peaks in the range 2θ from 10° to 90°, in order of rising 2θ:
2θ (°)	I (rel.)	hkl
29.74	100.0	3 0 1
31.21	16.9	0 0 2
34.33	8.3	3 2 1
35.63	10.1	2 0 2
36.01	34.9	3 3 0
48.38	17.2	3 3 2
51.85	10.7	6 0 0
54.63	17.0	3 0 3
60.38	9.1	5 3 2
60.92	19.2	6 3 1

Crystal structure
```
data_Tb4Dy5Mg
_symmetry_space_group_name_H-M 'I 4 m m'
_symmetry_Int_Tables_number 107
_symmetry_space_group_name_Hall 'I 4 -2'
_cell_length_a 10.580
_cell_length_b 10.580
_cell_length_c 5.732
_cell_angle_alpha 90.00
_cell_angle_beta 90.00
_cell_angle_gamma 90.00
loop_
_atom_site_label
_atom_site_fract_x
_atom_site_fract_y
_atom_site_fract_z
Tb1 0.000 0.320 0.000
Dy1 0.000 0.000 0.793
Dy2 0.186 0.186 0.510
Mg1 0.000 0.000 0.271
```

# 4
Starting from a cell relaxed with GGA-PBE, the powder diffractogram of Tb2Dy12Mg was simulated for CuKα.

Principal peaks in the range 2θ from 10° to 90°, in order of rising 2θ:
2θ (°)	I (rel.)	hkl
29.80	34.3	0 0 8
30.54	39.8	0 2 7
31.73	73.1	0 4 0
31.84	31.2	2 0 -6
32.03	100.0	2 2 2
32.24	37.6	2 2 -4
33.85	50.5	0 2 8
44.09	17.4	0 4 8
45.57	18.9	2 4 -6
56.69	27.8	2 6 2

Crystal structure
```
data_Tb2Dy12Mg
_symmetry_space_group_name_H-M 'C 1 2/m 1'
_symmetry_Int_Tables_number 12
_cell_length_a 6.993
_cell_length_b 11.282
_cell_length_c 24.185
_cell_angle_alpha 90.00
_cell_angle_beta 97.68
_cell_angle_gamma 90.00
loop_
_symmetry_equiv_pos_as_xyz
'x,y,z'
'-x,-y,-z'
'-x,y,-z'
'x,-y,z'
'x+1/2,y+1/2,z'
'-x+1/2,-y+1/2,-z'
'-x+1/2,y+1/2,-z'
'x+1/2,-y+1/2,z'
loop_
_atom_site_label
_atom_site_fract_x
_atom_site_fract_y
_atom_site_fract_z
Tb1 0.023 0.000 0.287
Tb2 0.025 0.500 0.267
Dy1 0.066 0.227 0.934
Dy2 0.098 0.240 0.444
Dy3 0.125 0.500 0.107
Dy4 0.150 0.000 0.151
Dy5 0.155 0.500 0.580
Dy6 0.170 0.000 0.570
Dy7 0.206 0.256 0.673
Dy8 0.213 0.218 0.806
Mg1 0.223 0.000 0.017
```

# 5
Starting from a cell relaxed with GGA-PBE, the powder diffractogram of Tb8Dy6Mg was simulated for CuKα.

Principal peaks in the range 2θ from 10° to 90°, in order of rising 2θ:
2θ (°)	I (rel.)	hkl
26.15	9.1	0 2 1
28.45	17.2	0 0 2
29.10	26.9	2 1 0
30.55	11.4	0 1 2
32.48	100.0	2 1 1
34.40	22.0	2 -1 2
41.14	12.6	3 -2 2
51.59	16.0	1 4 0
59.97	9.4	1 4 2
62.30	12.2	6 -4 1

Crystal structure
```
data_Tb8Dy6Mg
_symmetry_space_group_name_H-M 'P -3'
_symmetry_Int_Tables_number 147
_cell_length_a 9.3746
_cell_length_b 9.3746
_cell_length_c 6.2741
_cell_angle_alpha 90.00
_cell_angle_beta 90.00
_cell_angle_gamma 120.00
loop_
_symmetry_equiv_pos_as_xyz
'x,y,z'
'-x,-y,-z'
'-y,x-y,z'
'y,-x+y,-z'
'-x+y,-x,z'
'x-y,x,-z'
loop_
_atom_site_label
_atom_site_fract_x
_atom_site_fract_y
_atom_site_fract_z
Tb1 0.0379 0.2688 0.1852
Tb2 0.3333 0.6667 0.1754
Dy1 0.0923 0.4516 0.6821
Mg1 0.0000 0.0000 0.5000
```

# 6
Starting from a cell relaxed with GGA-PBE, the powder diffractogram of TbDy2Y2Mg5 was simulated for CuKα.

Principal peaks in the range 2θ from 10° to 90°, in order of rising 2θ:
2θ (°)	I (rel.)	hkl
17.51	78.4	0 0 1
26.58	42.3	3 1 0
29.65	20.8	2 2 1
30.39	15.5	3 2 0
32.01	100.0	3 1 1
34.89	14.1	4 1 0
35.29	44.2	3 2 1
35.44	30.4	0 0 2
44.85	20.8	3 1 2
61.48	17.5	3 1 3

Crystal structure
```
data_TbDy2Y2Mg5
_symmetry_space_group_name_H-M 'P 4/m b m'
_symmetry_Int_Tables_number 127
_symmetry_space_group_name_Hall '-P 4 2ab'
_cell_length_a 10.604
_cell_length_b 10.604
_cell_length_c 5.066
_cell_angle_alpha 90.00
_cell_angle_beta 90.00
_cell_angle_gamma 90.00
loop_
_atom_site_label
_atom_site_fract_x
_atom_site_fract_y
_atom_site_fract_z
Tb1 0.000 0.000 0.000
Dy1 0.119 0.381 0.000
Y1 0.178 0.678 0.000
Mg1 0.000 0.500 0.500
Mg2 0.069 0.198 0.500
```

# 7
Starting from a cell relaxed with GGA-PBE, the powder diffractogram of Dy4ThMg was simulated for CuKα.

Principal peaks in the range 2θ from 10° to 90°, in order of rising 2θ:
2θ (°)	I (rel.)	hkl
27.90	12.8	1 0 2
31.30	100.0	1 0 3
35.46	37.2	1 1 0
37.92	13.5	0 0 6
51.02	13.3	2 0 0
52.89	21.0	1 1 6
61.09	33.1	2 1 3
64.40	9.8	1 0 9
65.30	11.1	2 0 6
86.50	9.0	2 1 9

Crystal structure
```
data_Dy4ThMg
_symmetry_space_group_name_H-M 'P 4/m m m'
_symmetry_Int_Tables_number 123
_symmetry_space_group_name_Hall '-P 4 2'
_cell_length_a 3.580
_cell_length_b 3.580
_cell_length_c 14.235
_cell_angle_alpha 90.00
_cell_angle_beta 90.00
_cell_angle_gamma 90.00
loop_
_atom_site_label
_atom_site_fract_x
_atom_site_fract_y
_atom_site_fract_z
Dy1 0.000 0.000 0.151
Dy2 0.500 0.500 0.328
Th1 0.000 0.000 0.500
Mg1 0.500 0.500 0.000
```

# 8
Starting from a cell relaxed with GGA-PBE, the powder diffractogram of Dy8Th2Mg was simulated for CuKα.

Principal peaks in the range 2θ from 10° to 90°, in order of rising 2θ:
2θ (°)	I (rel.)	hkl
11.07	11.8	1 1 0
27.64	15.5	2 2 1
31.94	100.0	0 4 1
32.72	26.8	0 0 2
33.65	21.6	3 3 0
47.64	16.4	3 3 2
55.80	9.6	3 5 2
57.91	18.7	0 4 3
59.12	9.4	3 7 1
64.54	16.3	6 4 1

Crystal structure
```
data_Dy8Th2Mg
_symmetry_space_group_name_H-M 'C m m m'
_symmetry_Int_Tables_number 65
_symmetry_space_group_name_Hall '-C 2 2'
_cell_length_a 10.111
_cell_length_b 13.043
_cell_length_c 5.474
_cell_angle_alpha 90.00
_cell_angle_beta 90.00
_cell_angle_gamma 90.00
loop_
_atom_site_label
_atom_site_fract_x
_atom_site_fract_y
_atom_site_fract_z
Dy1 0.000 0.250 0.000
Dy2 0.163 0.135 0.500
Dy3 0.166 0.500 0.000
Th1 0.000 0.380 0.500
Mg1 0.000 0.000 0.000
```